Structure and calculated PXRD pattern of Ce5Ir2Os (the GGA-PBE geometry in Alexandria; copper Kα).
Peak positions follow from Bragg's law for the DFT cell and can differ from measured ones.

Structural model:
```
data_Ce5Ir2Os
_chemical_formula_sum 'Ce20 Ir8 Os4'
_space_group_name_H-M_alt 'C m c m'
_space_group_IT_number 63
_space_group_name_Hall '-C 2c 2'
_cell_length_a 5.5651
_cell_length_b 12.5529
_cell_length_c 13.7282
_cell_angle_alpha 90.00
_cell_angle_beta 90.00
_cell_angle_gamma 90.00
loop_
_atom_site_label
_atom_site_type_symbol
_atom_site_fract_x
_atom_site_fract_y
_atom_site_fract_z
Ce1 Ce 0.0000 0.0546 0.1218
Ce2 Ce 0.0000 0.2599 0.7500
Ce3 Ce 0.0000 0.3394 0.0682
Ir1 Ir 0.0000 0.1537 0.5601
Os1 Os 0.0000 0.2158 0.2500
```

Largest 10 diffraction maxima, low angle first, 10° ≤ 2θ ≤ 90°:
d [Å]	I (rel.)
6.276	53
5.088	72
3.698	72
3.011	41
2.854	45
2.783	100
2.588	69
2.223	37
2.045	39
1.895	55


Structure and calculated PXRD pattern of KCe2Dy2O7 (the GGA-PBE geometry in Alexandria; copper Kα).
Peak positions follow from Bragg's law for the DFT cell and can differ from measured ones.

Structural model:
```
data_KCe2Dy2O7
_chemical_formula_sum 'K2 Ce4 Dy4 O14'
_space_group_name_H-M_alt 'C 1 m 1'
_space_group_IT_number 8
_cell_length_a 20.2113
_cell_length_b 4.5971
_cell_length_c 4.5965
_cell_angle_alpha 90.00
_cell_angle_beta 103.14
_cell_angle_gamma 90.00
loop_
_space_group_symop_operation_xyz
'x,y,z'
'x,-y,z'
'x+1/2,y+1/2,z'
'x+1/2,-y+1/2,z'
loop_
_atom_site_label
_atom_site_type_symbol
_atom_site_fract_x
_atom_site_fract_y
_atom_site_fract_z
K1 K 0.0000 0.0000 0.0000
Ce1 Ce 0.1078 0.5000 0.6014
Ce2 Ce 0.3860 0.0000 0.3795
Dy1 Dy 0.2469 0.0000 0.7403
Dy2 Dy 0.2469 0.5000 0.2404
O1 O 0.1316 0.0000 0.6248
O2 O 0.1317 0.5000 0.1251
O3 O 0.2335 0.5000 0.7270
O4 O 0.2599 0.0000 0.2534
O5 O 0.3615 0.0000 0.8548
O6 O 0.3615 0.5000 0.3546
O7 O 0.4969 0.0000 0.4851
```

Largest 10 diffraction maxima, low angle first, 10° ≤ 2θ ≤ 90°:
d [Å]	I (rel.)
4.476	58
3.765	30
3.280	30
3.086	100
2.990	42
2.712	79
2.460	38
2.298	77
1.684	38
1.680	45


Structure and calculated PXRD pattern of Fe2Re3 (the GGA-PBE geometry in Alexandria; copper Kα).
Peak positions follow from Bragg's law for the DFT cell and can differ from measured ones.

Structural model:
```
data_Fe2Re3
_chemical_formula_sum 'Fe24 Re36'
_space_group_name_H-M_alt 'C m m 2'
_space_group_IT_number 35
_cell_length_a 12.9073
_cell_length_b 12.9306
_cell_length_c 4.8375
_cell_angle_alpha 90.00
_cell_angle_beta 90.00
_cell_angle_gamma 90.00
loop_
_space_group_symop_operation_xyz
'x,y,z'
'-x,-y,z'
'-x,y,z'
'x,-y,z'
'x+1/2,y+1/2,z'
'-x+1/2,-y+1/2,z'
'-x+1/2,y+1/2,z'
'x+1/2,-y+1/2,z'
loop_
_atom_site_label
_atom_site_type_symbol
_atom_site_fract_x
_atom_site_fract_y
_atom_site_fract_z
Fe1 Fe 0.0000 0.0000 0.0000
Fe2 Fe 0.0000 0.5000 0.4989
Fe3 Fe 0.0958 0.1581 0.9995
Fe4 Fe 0.1605 0.4054 0.5044
Fe5 Fe 0.1879 0.0000 0.7549
Re1 Re 0.0000 0.0967 0.5117
Re2 Re 0.0000 0.3119 0.2570
Re3 Re 0.0000 0.3180 0.7562
Re4 Re 0.0989 0.5000 0.0061
Re5 Re 0.1660 0.1986 0.5056
Re6 Re 0.1846 0.0000 0.2536
Re7 Re 0.2008 0.3346 0.0013
```

Largest 10 diffraction maxima, low angle first, 10° ≤ 2θ ≤ 90°:
d [Å]	I (rel.)
4.275	27
2.577	20
2.480	27
2.216	86
2.153	45
2.138	52
2.081	70
2.014	100
1.967	37
1.304	24


Structure and calculated PXRD pattern of K8Rh3O8 (the GGA-PBE geometry in Alexandria; copper Kα).
Peak positions follow from Bragg's law for the DFT cell and can differ from measured ones.

Structural model:
```
data_K8Rh3O8
_chemical_formula_sum 'K16 Rh6 O16'
_space_group_name_H-M_alt 'C 1 2/m 1'
_space_group_IT_number 12
_cell_length_a 19.9853
_cell_length_b 5.5070
_cell_length_c 7.9771
_cell_angle_alpha 90.00
_cell_angle_beta 107.14
_cell_angle_gamma 90.00
loop_
_space_group_symop_operation_xyz
'x,y,z'
'-x,-y,-z'
'-x,y,-z'
'x,-y,z'
'x+1/2,y+1/2,z'
'-x+1/2,-y+1/2,-z'
'-x+1/2,y+1/2,-z'
'x+1/2,-y+1/2,z'
loop_
_atom_site_label
_atom_site_type_symbol
_atom_site_fract_x
_atom_site_fract_y
_atom_site_fract_z
K1 K 0.0234 0.0000 0.2503
K2 K 0.1035 0.5000 0.9501
K3 K 0.1634 0.5000 0.4549
K4 K 0.1970 0.0000 0.7838
Rh1 Rh 0.0000 0.5000 0.5000
Rh2 Rh 0.1876 0.0000 0.2025
O1 O 0.0226 0.5000 0.2899
O2 O 0.1089 0.0000 0.0064
O3 O 0.1755 0.0000 0.4227
O4 O 0.2238 0.5000 0.8242
```

Largest 10 diffraction maxima, low angle first, 10° ≤ 2θ ≤ 90°:
d [Å]	I (rel.)
5.250	43
4.720	33
4.523	100
4.165	59
3.184	59
3.136	31
2.979	81
2.775	49
2.754	98
1.568	27


Structure and calculated PXRD pattern of Rb2CrCuBr6 (the GGA-PBE geometry in Alexandria; copper Kα).
Peak positions follow from Bragg's law for the DFT cell and can differ from measured ones.

Structural model:
```
data_Rb2CrCuBr6
_chemical_formula_sum 'Rb4 Cr2 Cu2 Br12'
_space_group_name_H-M_alt 'C 1 2/m 1'
_space_group_IT_number 12
_cell_length_a 12.5181
_cell_length_b 7.6479
_cell_length_c 7.9271
_cell_angle_alpha 90.00
_cell_angle_beta 128.20
_cell_angle_gamma 90.00
loop_
_space_group_symop_operation_xyz
'x,y,z'
'-x,-y,-z'
'-x,y,-z'
'x,-y,z'
'x+1/2,y+1/2,z'
'-x+1/2,-y+1/2,-z'
'-x+1/2,y+1/2,-z'
'x+1/2,-y+1/2,z'
loop_
_atom_site_label
_atom_site_type_symbol
_atom_site_fract_x
_atom_site_fract_y
_atom_site_fract_z
Rb1 Rb 0.2484 0.0000 0.2418
Cr1 Cr 0.0000 0.0000 0.5000
Cu1 Cu 0.0000 0.5000 0.0000
Br1 Br 0.0278 0.2340 0.3012
Br2 Br 0.2389 0.5000 0.1813
```

Largest 10 diffraction maxima, low angle first, 10° ≤ 2θ ≤ 90°:
d [Å]	I (rel.)
5.503	13
3.115	23
3.056	44
3.019	68
2.752	100
2.459	34
1.912	18
1.846	18
1.822	30
1.510	14


Structure and calculated PXRD pattern of Y3Cd2Au (the GGA-PBE geometry in Alexandria; copper Kα).
Peak positions follow from Bragg's law for the DFT cell and can differ from measured ones.

Structural model:
```
data_Y3Cd2Au
_chemical_formula_sum 'Y3 Cd2 Au1'
_space_group_name_H-M_alt 'P -3 m 1'
_space_group_IT_number 164
_space_group_name_Hall '-P 3 2"'
_cell_length_a 5.2219
_cell_length_b 5.2219
_cell_length_c 6.4218
_cell_angle_alpha 90.00
_cell_angle_beta 90.00
_cell_angle_gamma 120.00
loop_
_atom_site_label
_atom_site_type_symbol
_atom_site_fract_x
_atom_site_fract_y
_atom_site_fract_z
Y1 Y 0.0000 0.0000 0.0000
Y2 Y 0.3333 0.6667 0.6501
Cd1 Cd 0.3333 0.6667 0.1470
Au1 Au 0.0000 0.0000 0.5000
```

Largest 10 diffraction maxima, low angle first, 10° ≤ 2θ ≤ 90°:
d [Å]	I (rel.)
3.697	8
2.614	100
2.026	3
1.849	17
1.513	9
1.508	27
1.309	6
1.305	6
1.170	8
1.168	8